1.
Structure and computed powder diffraction line list of BaCaZnPd (DFT lattice parameters and positions (GGA-PBE); Cu Kα).
Peak positions follow from Bragg's law for the DFT cell and can differ from measured ones.

```
12
Lattice="4.480 0.000 0.000 -2.240 3.880 0.000 0.000 0.000 23.045" Properties=species:S:1:pos:R:3 pbc="T T T"
Ba 0.000 0.000 0.000
Ba 0.000 2.586 15.364
Ba 2.240 1.293 7.682
Ca 0.000 0.000 19.046
Ca 0.000 2.586 11.364
Ca 2.240 1.293 3.682
Zn 0.000 0.000 5.424
Zn 0.000 2.586 20.787
Zn 2.240 1.293 13.105
Pd 0.000 0.000 13.090
Pd 0.000 2.586 5.409
Pd 2.240 1.293 20.772
```

Largest 10 diffraction maxima, by angle, 2θ from 10° to 90°:
d (Å)  two_theta  intensity
7.682  11.52  100.0
3.677  24.21  28.1
3.218  27.72  57.4
2.968  30.11  67.0
2.561  35.04  16.6
2.510  35.77  37.0
2.240  40.26  60.0
2.150  42.02  25.2
1.686  54.42  27.7
1.458  63.85  22.0

---

2.
Structure and computed powder diffraction line list of KH2I3O9 (DFT lattice parameters and positions (GGA-PBE); Cu Kα).
Peak positions follow from Bragg's law for the DFT cell and can differ from measured ones.

```
30
Lattice="8.313 0.000 0.000 3.256 7.668 0.000 4.143 1.126 7.148" Properties=species:S:1:pos:R:3 pbc="T T T"
K 0.000 0.000 0.000
K 8.090 4.894 3.883
H 5.850 6.094 1.746
H 10.271 6.879 4.516
H 8.079 2.339 2.179
H 13.528 6.838 6.523
I 2.347 0.605 3.637
I 4.182 4.298 4.081
I 8.109 1.735 6.903
I 5.740 4.148 0.182
I 6.152 1.211 3.310
I 10.076 3.663 0.619
O 3.632 2.711 4.792
O 4.923 6.757 2.836
O 5.533 4.726 5.248
O 2.850 1.291 1.068
O 4.082 4.876 0.016
O 7.348 7.662 3.803
O 5.289 3.593 2.747
O 6.759 1.342 5.718
O 6.506 5.731 1.035
O 8.721 3.320 6.203
O 5.974 0.947 1.530
O 10.579 5.646 5.686
O 10.099 7.100 3.548
O 7.929 1.991 3.147
O 8.396 2.912 0.788
O 9.522 5.492 0.353
O 13.317 8.028 5.352
O 10.373 3.945 2.388
```

Largest 10 diffraction maxima, by angle, 2θ from 10° to 90°:
d (Å)  two_theta  intensity
3.933  22.61  39.1
3.811  23.34  35.4
3.788  23.49  93.8
3.574  24.91  84.4
3.460  25.75  100.0
3.283  27.16  43.2
3.221  27.69  79.5
3.014  29.64  54.4
2.986  29.93  38.0
2.828  31.64  46.2

---

3.
Structure and computed powder diffraction line list of PmY12Sc2 (DFT lattice parameters and positions (GGA-PBE); Cu Kα).
Peak positions follow from Bragg's law for the DFT cell and can differ from measured ones.

```
15
Lattice="3.605 0.000 0.000 0.000 4.815 0.000 -1.788 0.000 27.837" Properties=species:S:1:pos:R:3 pbc="T T T"
Pm 0.000 0.000 0.000
Y 0.007 0.000 3.668
Y 0.011 0.000 10.646
Y 0.005 2.407 15.372
Y 0.002 2.407 18.913
Y 0.005 2.407 22.340
Y 0.012 2.407 25.982
Y 1.805 2.407 1.855
Y 1.812 2.407 5.496
Y 1.815 2.407 8.924
Y 1.812 2.407 12.465
Y 1.806 0.000 17.191
Y 1.810 0.000 24.168
Sc 0.011 0.000 7.197
Sc 1.806 0.000 20.640
```

Largest 10 diffraction maxima, by angle, 2θ from 10° to 90°:
d (Å)  two_theta  intensity
3.066  29.13  14.7
2.882  31.03  100.0
2.820  31.73  89.5
2.586  34.69  62.2
2.407  37.35  33.6
1.802  50.65  13.4
1.762  51.89  38.3
1.525  60.74  28.0
1.519  61.01  26.0
1.443  64.60  13.1

---

4.
Structure and computed powder diffraction line list of Nd3Zn9Pt2 (DFT lattice parameters and positions (GGA-PBE); Cu Kα).
Peak positions follow from Bragg's law for the DFT cell and can differ from measured ones.

```
14
Lattice="-2.166 4.558 6.654 2.166 -4.558 6.654 2.166 4.558 -6.654" Properties=species:S:1:pos:R:3 pbc="T T T"
Nd 0.000 0.000 0.000
Nd 0.000 0.000 4.137
Nd 0.000 0.000 9.171
Zn 2.166 -1.293 2.311
Zn 2.166 -1.993 4.975
Zn 2.166 1.293 2.311
Zn 0.000 2.565 1.679
Zn 0.000 4.558 0.000
Zn 2.166 1.993 4.975
Zn 0.000 3.265 4.343
Zn 0.000 6.550 1.679
Zn 0.000 5.851 4.343
Pt 2.166 2.565 0.000
Pt 0.000 1.992 6.654
```

Largest 10 diffraction maxima, by angle, 2θ from 10° to 90°:
d (Å)  two_theta  intensity
3.760  23.66  13.6
3.056  29.22  15.8
2.563  35.01  100.0
2.507  35.82  23.9
2.488  36.11  15.7
2.330  38.64  20.4
2.268  39.75  26.0
2.218  40.68  20.7
2.166  41.70  35.3
2.030  44.63  14.6

---

5.
Structure and computed powder diffraction line list of Ce3Th2Tl2 (DFT lattice parameters and positions (GGA-PBE); Cu Kα).
Peak positions follow from Bragg's law for the DFT cell and can differ from measured ones.

```
14
Lattice="11.047 0.000 0.000 0.000 4.630 0.000 -0.756 0.000 7.896" Properties=species:S:1:pos:R:3 pbc="T T T"
Ce 0.000 0.000 0.000
Ce 2.352 2.315 1.018
Ce 2.415 0.000 6.878
Ce 5.523 2.315 0.000
Ce 7.876 0.000 1.018
Ce 7.938 2.315 6.878
Th 1.249 0.000 3.322
Th 3.519 2.315 4.574
Th 6.772 2.315 3.322
Th 9.042 0.000 4.574
Tl 0.249 2.315 5.700
Tl 4.518 0.000 2.196
Tl 5.772 0.000 5.700
Tl 10.042 2.315 2.196
```

Largest 10 diffraction maxima, by angle, 2θ from 10° to 90°:
d (Å)  two_theta  intensity
2.846  31.43  100.0
2.768  32.34  92.7
2.523  35.59  36.2
2.467  36.41  32.9
2.315  38.91  28.6
1.706  53.74  22.6
1.688  54.34  21.4
1.524  60.79  15.4
1.499  61.89  13.6
1.488  62.43  14.3

---

6.
Structure and computed powder diffraction line list of Rb4AsI6 (DFT lattice parameters and positions (GGA-PBE); Cu Kα).
Peak positions follow from Bragg's law for the DFT cell and can differ from measured ones.

```
22
Lattice="10.033 0.000 0.000 0.000 10.033 0.000 0.000 0.000 10.129" Properties=species:S:1:pos:R:3 pbc="T T T"
Rb 1.658 3.358 2.532
Rb 1.658 3.358 7.596
Rb 3.358 8.375 2.532
Rb 3.358 8.375 7.596
Rb 6.675 1.658 2.532
Rb 6.675 1.658 7.596
Rb 8.375 6.675 2.532
Rb 8.375 6.675 7.596
As 0.000 0.000 0.000
As 5.017 5.017 5.064
I 0.000 0.000 2.884
I 0.000 0.000 7.245
I 1.049 6.935 0.000
I 1.918 6.066 5.064
I 3.098 1.049 0.000
I 3.968 1.918 5.064
I 5.017 5.017 2.180
I 5.017 5.017 7.948
I 6.066 8.115 5.064
I 6.935 8.984 0.000
I 8.115 3.968 5.064
I 8.984 3.098 0.000
```

Largest 10 diffraction maxima, by angle, 2θ from 10° to 90°:
d (Å)  two_theta  intensity
7.121  12.43  18.5
3.358  26.54  100.0
3.200  27.88  14.4
3.173  28.12  66.2
3.028  29.50  17.5
2.532  35.45  19.6
2.244  40.19  17.1
2.192  41.19  16.4
1.979  45.85  24.9
1.630  56.45  10.7

---

7.
Structure and computed powder diffraction line list of KCeGaI6 (DFT lattice parameters and positions (GGA-PBE); Cu Kα).
Peak positions follow from Bragg's law for the DFT cell and can differ from measured ones.

```
18
Lattice="7.811 0.000 0.000 0.000 7.811 0.000 0.000 0.000 14.356" Properties=species:S:1:pos:R:3 pbc="T T T"
K 0.000 0.000 0.000
K 3.905 3.905 7.178
Ce 0.000 0.000 4.811
Ce 3.905 3.905 11.989
Ga 0.000 0.000 9.542
Ga 3.905 3.905 2.364
I 1.408 1.408 7.140
I 1.580 1.580 2.748
I 1.759 1.759 11.855
I 2.146 5.665 4.677
I 2.326 5.485 9.926
I 2.497 5.314 14.318
I 5.314 2.497 14.318
I 5.485 2.326 9.926
I 5.665 2.146 4.677
I 6.051 6.051 11.855
I 6.231 6.231 2.748
I 6.402 6.402 7.140
```

Largest 10 diffraction maxima, by angle, 2θ from 10° to 90°:
d (Å)  two_theta  intensity
6.861  12.90  25.6
5.523  16.05  34.6
3.905  22.77  17.6
3.617  24.62  100.0
3.493  25.50  31.7
2.821  31.72  41.4
2.761  32.42  32.5
2.392  37.60  19.8
2.287  39.40  40.9
2.195  41.12  25.8

---

8.
Structure and computed powder diffraction line list of Li3Ca2Cd3 (DFT lattice parameters and positions (GGA-PBE); Cu Kα).
Peak positions follow from Bragg's law for the DFT cell and can differ from measured ones.

```
8
Lattice="8.181 0.000 0.000 -4.091 7.085 0.000 0.000 0.000 3.511" Properties=species:S:1:pos:R:3 pbc="T T T"
Li -0.905 1.567 0.000
Li 1.809 0.000 0.000
Li 3.186 5.518 0.000
Ca 0.000 4.723 0.000
Ca 4.091 2.362 0.000
Cd -2.761 4.782 1.756
Cd 1.330 2.303 1.756
Cd 5.522 0.000 1.756
```

Largest 10 diffraction maxima, by angle, 2θ from 10° to 90°:
d (Å)  two_theta  intensity
4.091  21.73  87.8
3.511  25.36  12.9
2.664  33.64  100.0
2.362  38.10  40.5
2.045  44.29  14.4
1.960  46.33  17.0
1.767  51.72  25.7
1.613  57.09  12.1
1.415  66.02  25.1
1.409  66.34  14.5

---

9.
Structure and computed powder diffraction line list of ErCu3S3 (DFT lattice parameters and positions (GGA-PBE); Cu Kα).
Peak positions follow from Bragg's law for the DFT cell and can differ from measured ones.

```
14
Lattice="6.672 0.000 0.000 -3.336 5.778 0.000 0.000 0.000 6.324" Properties=species:S:1:pos:R:3 pbc="T T T"
Er 0.000 3.852 0.000
Er 3.336 1.926 0.000
Cu -1.138 1.970 2.325
Cu -2.199 3.808 4.000
Cu 2.275 0.000 2.325
Cu 1.138 1.970 4.000
Cu 4.397 0.000 4.000
Cu 2.199 3.808 2.325
S -1.102 1.909 4.755
S -2.234 3.869 1.570
S 2.204 0.000 4.755
S 1.102 1.909 1.570
S 4.468 0.000 1.570
S 2.234 3.869 4.755
```

Largest 10 diffraction maxima, by angle, 2θ from 10° to 90°:
d (Å)  two_theta  intensity
5.778  15.33  33.7
4.266  20.82  27.3
2.951  30.29  100.0
2.295  39.25  71.7
1.926  47.19  54.9
1.782  51.26  16.8
1.613  57.10  16.4
1.475  63.00  16.8
1.422  65.66  19.4
1.171  82.32  15.4